Structure and computed XRD peak list of Cs2CaTbBr6 (a crystal structure in Alexandria, relaxed with GGA-PBE; Cu Kα (weighted mean of Kα1 and Kα2)).
Lines closer than 0.1° are merged.

Peak list (10 most intense, 2θ = 15–90°, by angle)
- 21.9 deg, I 46
- 26.9 deg, I 66
- 31.1 deg, I 100
- 38.4 deg, I 22
- 44.6 deg, I 72
- 52.9 deg, I 29
- 55.4 deg, I 25
- 71.6 deg, I 12
- 73.8 deg, I 32
- 82.2 deg, I 24

Cell and atoms:
abc: 8.1226 11.4930 8.1221
angles: 90.00 90.00 90.00
Space group Pmmn (No. 59, origin choice 2)
Inequivalent atoms, fractional coordinates:
Cs 0.2500 0.9999 0.2499 (multiplicity 4)
Ca 0.2500 0.2500 0.7489 (multiplicity 2)
Tb 0.2500 0.7500 0.7511 (multiplicity 2)
Br 0.0011 0.7500 0.5029 (multiplicity 4)
Br 0.0017 0.7500 0.9999 (multiplicity 4)
Br 0.2500 0.5014 0.7501 (multiplicity 4)